For Ba2PuSe4, a cell relaxed with GGA-PBE gives the computed powder X-ray diffraction pattern in this record (λ = 1.5418 Å (Cu Kα)).
No peak broadening, texture or thermal motion is included.

Top 12 peaks for 2θ = 15–90°, by angle:
23.49°, intensity 100, hkl 1 3 0
29.84°, intensity 23, hkl 1 4 0
30.40°, intensity 43, hkl 2 1 1
32.75°, intensity 47, hkl 2 2 1
39.46°, intensity 18, hkl 3 1 1
39.78°, intensity 23, hkl 0 0 2
40.96°, intensity 11, hkl 2 4 1
41.83°, intensity 34, hkl 1 5 1
42.03°, intensity 11, hkl 0 6 0
44.39°, intensity 16, hkl 3 3 1
46.69°, intensity 13, hkl 1 3 2
47.05°, intensity 12, hkl 4 2 0

Atomic structure:
```
data_Ba2PuSe4
_chemical_formula_sum 'Ba4 Pu2 Se8'
_cell_length_a 8.0983
_cell_length_b 12.8897
_cell_length_c 4.5319
_cell_angle_alpha 90.00
_cell_angle_beta 90.00
_cell_angle_gamma 90.00
_space_group_name_H-M_alt 'P b a m'
_space_group_IT_number 55
loop_
_space_group_symop_operation_xyz
'x,y,z'
'-x,-y,-z'
'-x,-y,z'
'x,y,-z'
'x+1/2,-y+1/2,-z'
'-x+1/2,y+1/2,z'
'-x+1/2,y+1/2,-z'
'x+1/2,-y+1/2,z'
loop_
_atom_site_label
_atom_site_fract_x
_atom_site_fract_y
_atom_site_fract_z
Ba1 0.0826 0.1809 0.0000
Pu1 0.0000 0.5000 0.5000
Se1 0.1324 0.6993 0.5000
Se2 0.2132 0.4489 0.0000
```



For ErFe12, a cell relaxed with GGA-PBE gives the computed powder X-ray diffraction pattern in this record (λ = 1.5418 Å (Cu Kα)).
No peak broadening, texture or thermal motion is included.

Top 12 peaks for 2θ = 15–90°, by angle:
30.48°, intensity 40, hkl 2 1 1
33.68°, intensity 16, hkl 3 1 0
37.38°, intensity 48, hkl 3 0 1
38.49°, intensity 17, hkl 0 0 2
42.99°, intensity 59, hkl 4 0 0
43.32°, intensity 100, hkl 3 2 1
44.30°, intensity 69, hkl 2 0 2
49.57°, intensity 22, hkl 2 2 2
63.44°, intensity 12, hkl 4 2 2
72.96°, intensity 20, hkl 3 2 3
79.02°, intensity 20, hkl 6 3 1
79.71°, intensity 18, hkl 6 0 2

Atomic structure:
```
data_ErFe12
_chemical_formula_sum 'Er2 Fe24'
_cell_length_a 8.4160
_cell_length_b 8.4160
_cell_length_c 4.6783
_cell_angle_alpha 90.00
_cell_angle_beta 90.00
_cell_angle_gamma 90.00
_space_group_name_H-M_alt 'I 4/m m m'
_space_group_IT_number 139
_space_group_name_Hall '-I 4 2'
loop_
_atom_site_label
_atom_site_fract_x
_atom_site_fract_y
_atom_site_fract_z
Er1 0.0000 0.0000 0.0000
Fe1 0.0000 0.2254 0.5000
Fe2 0.0000 0.3580 0.0000
Fe3 0.2500 0.2500 0.2500
```



For Tl4In3Cl8, a cell relaxed with GGA-PBE gives the computed powder X-ray diffraction pattern in this record (λ = 1.5418 Å (Cu Kα)).
No peak broadening, texture or thermal motion is included.

Top 12 peaks for 2θ = 15–90°, by angle:
23.28°, intensity 13, hkl 1 1 1
24.38°, intensity 49, hkl 2 2 0
24.49°, intensity 49, hkl 2 2 -2
28.14°, intensity 100, hkl 0 4 0
28.58°, intensity 48, hkl 4 0 -2
40.22°, intensity 37, hkl 0 4 2
40.48°, intensity 55, hkl 4 0 0
40.72°, intensity 18, hkl 4 0 -4
47.58°, intensity 27, hkl 2 2 2
49.96°, intensity 20, hkl 4 4 0
50.21°, intensity 19, hkl 4 4 -4
65.97°, intensity 21, hkl 4 0 2

Atomic structure:
```
data_Tl4In3Cl8
_chemical_formula_sum 'Tl8 In6 Cl16'
_cell_length_a 12.4942
_cell_length_b 12.7016
_cell_length_c 8.8639
_cell_angle_alpha 90.00
_cell_angle_beta 134.41
_cell_angle_gamma 90.00
_space_group_name_H-M_alt 'C 1 2/m 1'
_space_group_IT_number 12
loop_
_space_group_symop_operation_xyz
'x,y,z'
'-x,-y,-z'
'-x,y,-z'
'x,-y,z'
'x+1/2,y+1/2,z'
'-x+1/2,-y+1/2,-z'
'-x+1/2,y+1/2,-z'
'x+1/2,-y+1/2,z'
loop_
_atom_site_label
_atom_site_fract_x
_atom_site_fract_y
_atom_site_fract_z
Tl1 0.0000 0.0000 0.0000
Tl2 0.0000 0.5000 0.5000
Tl3 0.2500 0.2500 0.0000
In1 0.0000 0.5000 0.0000
In2 0.2500 0.2500 0.5000
Cl1 0.0000 0.2503 0.5000
Cl2 0.0000 0.2566 0.0000
Cl3 0.2363 0.5000 0.0017
Cl4 0.2434 0.5000 0.4782
```